# 1
Ac7Te4P4: theoretical X-ray powder pattern (Cu Kα), based on a cell relaxed with GGA-PBE.
No peak broadening, texture or thermal motion is included.

Most intense lines, 2θ = 5–70°, in order of rising 2θ:
2θ/deg, intensity
22.2, 12
22.5, 43
23.5, 23
28.7, 17
30.1, 100
33.5, 13
33.8, 45
41.0, 13
44.5, 34
46.0, 15
47.1, 17
58.1, 14

Cell: 12.013 12.013 12.013 Å, 96.20 96.20 141.63°
Positions (direct):
Ac 0.000 0.284 0.284
Ac 0.000 0.716 0.716
Ac 0.133 0.500 0.633
Ac 0.244 0.244 0.000
Ac 0.284 0.000 0.284
Ac 0.287 0.287 0.575
Ac 0.287 0.713 0.000
Ac 0.500 0.133 0.633
Ac 0.500 0.867 0.367
Ac 0.713 0.287 0.000
Ac 0.713 0.713 0.425
Ac 0.716 0.000 0.716
Ac 0.756 0.756 0.000
Ac 0.867 0.500 0.367
Te 0.127 0.127 0.255
Te 0.127 0.873 0.000
Te 0.331 0.500 0.831
Te 0.500 0.331 0.831
Te 0.500 0.669 0.169
Te 0.669 0.500 0.169
Te 0.873 0.127 0.000
Te 0.873 0.873 0.745
P 0.105 0.605 0.210
P 0.105 0.895 0.500
P 0.395 0.605 0.500
P 0.395 0.895 0.790
P 0.605 0.105 0.210
P 0.605 0.395 0.500
P 0.895 0.105 0.500
P 0.895 0.395 0.790

***

# 2
Ac3Te2P: theoretical X-ray powder pattern (Cu Kα), based on a cell relaxed with GGA-PBE.
No peak broadening, texture or thermal motion is included.

Most intense lines, 2θ = 5–70°, in order of rising 2θ:
2θ/deg, intensity
23.5, 41
26.9, 42
27.3, 100
29.6, 22
38.7, 66
38.9, 39
45.9, 18
48.0, 36
54.6, 14
63.4, 16
63.6, 19
69.0, 14

Cell: 10.452 10.452 10.452 Å, 154.42 154.42 36.49°
Positions (direct):
Ac 0.000 0.000 0.000
Ac 0.350 0.350 0.000
Ac 0.650 0.650 0.000
Te 0.172 0.172 0.000
Te 0.828 0.828 0.000
P 0.500 0.500 0.000